Structure and theoretical PXRD pattern of TaVO4 (a GGA+U-relaxed structure; Cu Kα X-rays).
Lines closer than 0.1° are merged.

Main lines, sorted by position (5° ≤ 2θ ≤ 70°):
d/Å, two_theta, I/Imax
4.538, 19.56, 61.2
3.351, 26.60, 100.0
2.696, 33.23, 32.3
2.584, 34.71, 77.0
2.370, 37.97, 21.8
1.747, 52.39, 64.5
1.676, 54.79, 16.7
1.499, 61.91, 15.2
1.406, 66.51, 19.2
1.400, 66.80, 14.0

Structural model:
```
TaVO4
1.0
-3.3512 3.3512 3.0831
3.3512 -3.3512 3.0831
3.3512 3.3512 -3.0831
Ta V O
2 2 8
Direct
0.0000 0.0000 0.0000 Ta
0.7500 0.2500 0.5000 Ta
0.2389 0.7389 0.5000 V
0.4889 0.4889 0.0000 V
0.1797 0.4800 0.6997 O
0.2300 0.0302 0.8003 O
0.2300 0.4297 0.1997 O
0.2991 0.9971 0.3020 O
0.6951 0.9971 0.6980 O
0.7471 0.5491 0.8020 O
0.7471 0.9451 0.1980 O
0.7802 0.4800 0.3003 O
```